# 1
Calculated powder X-ray diffraction pattern of CeEu2ZrO6 for Cu Ka, from a DFT-relaxed cell (PBE, the Materials Project).
Kinematic intensities with the Lorentz-polarization factor, no thermal factor.

Most intense lines, 15 to 90 degrees two-theta, by angle:
| 2θ (°) | I_rel |
| --- | --- |
| 17.83 | 1.3 |
| 20.62 | 0.8 |
| 29.33 | 100.0 |
| 34.53 | 1.2 |
| 36.12 | 3.3 |
| 41.95 | 26.9 |
| 45.92 | 0.6 |
| 52.01 | 45.0 |
| 60.83 | 16.1 |
| 68.95 | 18.1 |
| 76.64 | 5.2 |
| 84.09 | 22.4 |

Lattice parameters (Å, degrees): 8.614 8.614 8.614 90.00 90.00 90.00
Space group Pn-3 (No. 201, origin choice 2)
One atom of each set of equivalent atoms:
Ce1 0.000 0.000 0.000 x4
Eu1 0.250 0.250 0.250 x2
Eu2 0.250 0.250 0.750 x6
Zr1 0.000 0.000 0.500 x4
O1 0.038 0.544 0.758 x24


# 2
Calculated powder X-ray diffraction pattern of Rb4Sn20Hg3 for Cu Ka, from a DFT-relaxed cell (PBE, the Materials Project).
Kinematic intensities with the Lorentz-polarization factor, no thermal factor.

Most intense lines, 15 to 90 degrees two-theta, by angle:
| 2θ (°) | I_rel |
| --- | --- |
| 15.90 | 41.4 |
| 24.74 | 39.4 |
| 25.77 | 13.9 |
| 26.76 | 100.0 |
| 29.55 | 20.2 |
| 32.93 | 15.5 |
| 38.91 | 16.0 |
| 42.27 | 65.1 |
| 42.92 | 19.4 |
| 43.56 | 26.5 |
| 44.82 | 52.0 |
| 71.85 | 12.0 |

Lattice parameters (Å, degrees): 12.466 12.466 12.466 90.00 90.00 90.00
Space group Pm-3n (No. 223)
One atom of each set of equivalent atoms:
Rb1 0.000 0.000 0.000 x2
Rb2 0.000 0.250 0.500 x6
Sn1 0.000 0.312 0.117 x24
Sn2 0.183 0.183 0.183 x16
Hg1 0.000 0.500 0.250 x6